The following is a simulated powder XRD pattern of NaHoVF6. It was derived from DFT lattice parameters and positions (PBE+U), using λ = 1.5418 Å (Cu Kα).
Intensities are scaled so that the largest is 100.

Top 6 peaks for 5° ≤ 2θ ≤ 70°, in order of rising 2θ:
- 17.3°, d = 5.130 Å, I 31, hkl 0 0 2
- 19.4°, d = 4.576 Å, I 90, hkl 1 0 1
- 24.6°, d = 3.616 Å, I 100, hkl 1 1 0
- 31.5°, d = 2.843 Å, I 66, hkl 1 0 3
- 47.8°, d = 1.901 Å, I 81, hkl 2 1 3
- 60.7°, d = 1.526 Å, I 34, hkl 3 0 3

Atomic structure:
```
NaHoVF6
1.0
5.1133 0.0000 0.0000
0.0000 5.1133 0.0000
0.0000 0.0000 10.2605
Na Ho V F
2 2 2 12
Cartesian
0.0000 0.0000 0.0000
2.5566 2.5566 5.1303
0.0000 0.0000 3.4191
2.5566 2.5566 8.5494
0.0000 0.0000 6.8536
2.5566 2.5566 1.7233
0.9425 0.9425 5.1644
1.0149 1.0149 8.4339
1.0538 1.0538 1.8284
1.5028 3.6105 6.9587
1.5418 3.5715 3.3036
1.6141 3.4992 0.0342
3.4992 1.6141 0.0342
3.5715 1.5418 3.3036
3.6105 1.5028 6.9587
4.0595 4.0595 1.8284
4.0984 4.0984 8.4339
4.1708 4.1708 5.1644
```